(1)
Starting from DFT lattice parameters and positions (PBE+U), the powder diffractogram of LiMnF5 was computed for Cu Kα, 1.54184 Å.
Kinematic intensities with the Lorentz-polarization factor, no thermal factor.

Peak list (12 most intense, 2θ = 10–80°, by angle)
| two_theta | intensity |
| --- | --- |
| 18.04 | 100 |
| 25.50 | 33 |
| 25.76 | 33 |
| 26.73 | 95 |
| 40.88 | 15 |
| 41.22 | 15 |
| 45.68 | 13 |
| 46.03 | 13 |
| 47.86 | 17 |
| 51.55 | 14 |
| 52.38 | 14 |
| 52.94 | 13 |

Cell and atoms:
```
LiMnF5
1.0
6.918 0.000 0.000
0.000 6.987 0.000
0.000 0.000 3.801
Li Mn F
2 2 10
direct
0.250 0.250 0.009
0.750 0.750 0.991
0.250 0.750 0.246
0.750 0.250 0.754
0.013 0.250 0.749
0.250 0.010 0.252
0.250 0.490 0.252
0.250 0.750 0.750
0.487 0.250 0.749
0.513 0.750 0.251
0.750 0.250 0.250
0.750 0.510 0.748
0.750 0.990 0.748
0.987 0.750 0.251
```

=====

(2)
Starting from DFT lattice parameters and positions (PBE+U), the powder diffractogram of Li3MnF7 was computed for Cu Kα, 1.54184 Å.
Kinematic intensities with the Lorentz-polarization factor, no thermal factor.

Peak list (12 most intense, 2θ = 10–80°, by angle)
| two_theta | intensity |
| --- | --- |
| 15.09 | 100 |
| 18.61 | 26 |
| 20.12 | 34 |
| 20.28 | 23 |
| 22.05 | 26 |
| 23.17 | 35 |
| 23.39 | 56 |
| 24.26 | 22 |
| 25.14 | 18 |
| 41.14 | 34 |
| 43.96 | 26 |
| 45.62 | 26 |

Cell and atoms:
```
Li3MnF7
1.0
5.138 0.000 0.000
-1.064 6.842 0.000
-2.492 -2.252 7.678
Li Mn F
6 2 14
direct
0.000 0.000 0.000
0.061 0.111 0.657
0.156 0.535 0.990
0.671 0.263 0.786
0.836 0.779 0.202
0.936 0.533 0.583
0.477 0.845 0.548
0.618 0.266 0.134
0.198 0.736 0.341
0.233 0.779 0.661
0.329 0.179 0.201
0.372 0.176 0.903
0.376 0.098 0.567
0.536 0.522 0.137
0.583 0.607 0.552
0.706 0.015 0.114
0.736 0.920 0.445
0.776 0.986 0.759
0.866 0.361 0.355
0.892 0.332 0.037
0.975 0.740 0.011
0.990 0.376 0.738
```